No. 1
# La3Tb5In2
Simulated XRD peak list, Cu Kα (weighted mean of Kα1 and Kα2). Input: a DFT-relaxed cell (PBE, Alexandria).

Top 10 peaks for 2θ from 10° to 80°, by angle:
(hkl)	2theta	d [Å]	intensity
2 3 1	25.72	3.463	17.3
0 2 2	29.54	3.024	100.0
0 6 0	34.46	2.603	10.1
2 5 1	34.62	2.591	33.9
0 4 2	35.75	2.511	26.6
4 0 2	38.83	2.319	40.3
4 6 2	52.87	1.732	11.1
2 5 3	52.99	1.728	18.4
4 2 4	64.67	1.441	10.5
0 10 2	66.28	1.410	14.2

Structural model:
Cell lengths 13.126, 15.618, 6.557 Å; angles 90.00, 90.00, 90.00 degrees
Space group Ibam (No. 72)
One atom of each set of equivalent atoms:
La 0.000 0.000 0.250
La 0.123 0.239 0.000
Tb 0.000 0.500 0.250
Tb 0.112 0.337 0.500
Tb 0.245 0.500 0.250
In 0.139 0.146 0.500

---

No. 2
# La4TbIn2
Simulated XRD peak list, Cu Kα (weighted mean of Kα1 and Kα2). Input: a DFT-relaxed cell (PBE, Alexandria).

Top 10 peaks for 2θ from 10° to 80°, by angle:
(hkl)	2theta	d [Å]	intensity
2 1 0	28.21	3.164	19.4
1 3 -1	29.81	2.997	100.0
0 0 2	31.27	2.860	51.5
1 4 0	31.69	2.824	13.0
2 1 1	32.34	2.769	49.7
2 2 -1	34.69	2.586	15.8
1 4 1	35.45	2.532	29.3
2 1 2	42.61	2.122	12.6
1 3 -3	54.75	1.676	18.0
3 5 1	58.39	1.580	15.9

Structural model:
Cell lengths 6.540, 12.522, 5.721 Å; angles 90.00, 90.08, 90.00 degrees
Space group P2_1/c (No. 14)
One atom of each set of equivalent atoms:
La 0.017 0.147 0.001
La 0.364 0.673 0.999
Tb 0.500 0.000 0.000
In 0.185 0.069 0.502

---

No. 3
# LaTbIn2Te4
Simulated XRD peak list, Cu Kα (weighted mean of Kα1 and Kα2). Input: a DFT-relaxed cell (PBE, Alexandria).

Top 10 peaks for 2θ from 10° to 80°, by angle:
(hkl)	2theta	d [Å]	intensity
0 0 1	10.92	8.104	5.2
1 1 1	27.07	3.294	100.0
1 1 -3	37.45	2.402	39.2
0 2 0	39.84	2.263	36.1
0 0 4	44.73	2.026	7.0
2 2 -2	48.83	1.865	19.4
2 2 2	55.82	1.647	12.1
0 2 4	61.43	1.509	16.0
1 3 1	64.77	1.439	16.2
1 3 -3	70.79	1.331	7.8

Structural model:
Cell lengths 7.844, 4.523, 8.511 Å; angles 90.00, 107.80, 90.00 degrees
Space group P2/m (No. 10)
One atom of each set of equivalent atoms:
La 0.000 0.000 0.000
Tb 0.500 0.500 0.000
In 0.000 0.500 0.500
In 0.500 0.000 0.500
Te 0.252 0.500 0.226
Te 0.269 0.000 0.779

---

No. 4
# La6In2Tc
Simulated XRD peak list, Cu Kα (weighted mean of Kα1 and Kα2). Input: a DFT-relaxed cell (PBE, Alexandria).

Top 10 peaks for 2θ from 10° to 80°, by angle:
(hkl)	2theta	d [Å]	intensity
2 0 0	29.03	3.075	47.1
2 0 -4	29.17	3.061	45.1
0 2 2	29.35	3.043	100.0
2 2 -2	33.71	2.659	98.9
0 0 4	34.20	2.622	43.2
0 4 0	48.71	1.869	48.4
2 2 -6	48.87	1.864	27.7
4 2 -2	57.26	1.609	16.6
2 4 0	57.77	1.596	26.1
0 4 4	60.88	1.522	15.9

Structural model:
Cell lengths 7.568, 7.474, 12.902 Å; angles 90.00, 125.63, 90.00 degrees
Space group P2_1/c (No. 14)
One atom of each set of equivalent atoms:
La 0.211 0.000 0.258
La 0.277 0.244 0.524
La 0.280 0.746 0.024
In 0.252 0.501 0.253
Tc 0.000 0.000 0.000